The following is a simulated powder X-ray diffraction pattern of Tl3Cu3ReSe8. It was derived from a PBE-relaxed structure, using Cu Kα (weighted mean of Kα1 and Kα2).
Lines closer than 0.1° are merged.

Cell and atoms:
```
Tl3Cu3ReSe8
1.0
6.629 -3.837 0.000
6.629 3.837 0.000
-4.425 0.000 6.996
Tl Cu Re Se
3 3 1 8
Direct
0.000 0.000 0.000 Tl
0.000 0.500 0.000 Tl
0.500 0.000 0.000 Tl
0.000 0.500 0.500 Cu
0.500 0.000 0.500 Cu
0.500 0.500 0.500 Cu
0.000 0.000 0.500 Re
0.223 0.750 0.698 Se
0.224 0.224 0.700 Se
0.250 0.777 0.302 Se
0.282 0.282 0.344 Se
0.718 0.718 0.656 Se
0.750 0.223 0.698 Se
0.776 0.776 0.300 Se
0.777 0.250 0.302 Se
```

Largest 10 diffraction maxima, in order of rising 2θ, 15° ≤ 2θ ≤ 90°:
2θ 26.5, d = 3.361 Å, rel. 17
2θ 28.2, d = 3.164 Å, rel. 8
2θ 31.9, d = 2.805 Å, rel. 100
2θ 34.5, d = 2.603 Å, rel. 12
2θ 44.0, d = 2.058 Å, rel. 30
2θ 47.4, d = 1.916 Å, rel. 36
2θ 51.5, d = 1.774 Å, rel. 8
2θ 58.3, d = 1.582 Å, rel. 17
2θ 73.3, d = 1.292 Å, rel. 8
2θ 78.4, d = 1.219 Å, rel. 10

***

The following is a simulated powder X-ray diffraction pattern of Cu3ReSn. It was derived from a PBE-relaxed structure, using Cu Kα (weighted mean of Kα1 and Kα2).
Lines closer than 0.1° are merged.

Cell and atoms:
```
Cu3ReSn
1.0
4.698 0.000 0.000
0.000 4.698 0.000
0.000 0.000 4.698
Cu Re Sn
3 1 1
Direct
0.000 0.000 0.500 Cu
0.000 0.500 0.000 Cu
0.500 0.000 0.000 Cu
0.000 0.000 0.000 Re
0.500 0.500 0.500 Sn
```

Largest 10 diffraction maxima, in order of rising 2θ, 15° ≤ 2θ ≤ 90°:
2θ 18.9, d = 4.698 Å, rel. 37
2θ 26.8, d = 3.322 Å, rel. 100
2θ 33.0, d = 2.713 Å, rel. 15
2θ 38.3, d = 2.349 Å, rel. 94
2θ 43.1, d = 2.101 Å, rel. 17
2θ 47.4, d = 1.918 Å, rel. 45
2θ 55.3, d = 1.661 Å, rel. 64
2θ 62.5, d = 1.486 Å, rel. 20
2θ 69.3, d = 1.356 Å, rel. 21
2θ 75.8, d = 1.256 Å, rel. 24

***

The following is a simulated powder X-ray diffraction pattern of SrCuRe. It was derived from a PBE-relaxed structure, using Cu Kα (weighted mean of Kα1 and Kα2).
Lines closer than 0.1° are merged.

Cell and atoms:
```
SrCuRe
1.0
-1.446 1.894 5.584
1.446 -1.894 5.584
1.446 1.894 -5.584
Sr Cu Re
1 1 1
Direct
0.000 0.000 0.000 Sr
0.290 0.290 0.000 Cu
0.711 0.711 0.000 Re
```

Largest 10 diffraction maxima, in order of rising 2θ, 15° ≤ 2θ ≤ 90°:
2θ 15.9, d = 5.584 Å, rel. 83
2θ 24.8, d = 3.587 Å, rel. 36
2θ 32.0, d = 2.795 Å, rel. 64
2θ 33.8, d = 2.655 Å, rel. 96
2θ 39.2, d = 2.299 Å, rel. 100
2θ 39.4, d = 2.284 Å, rel. 63
2θ 42.5, d = 2.126 Å, rel. 29
2θ 48.0, d = 1.894 Å, rel. 28
2θ 51.5, d = 1.775 Å, rel. 47
2θ 63.9, d = 1.458 Å, rel. 30

***

The following is a simulated powder X-ray diffraction pattern of TaCuRe. It was derived from a PBE-relaxed structure, using Cu Kα (weighted mean of Kα1 and Kα2).
Lines closer than 0.1° are merged.

Cell and atoms:
```
TaCuRe
1.0
2.762 0.000 0.000
-1.381 2.392 0.000
0.000 0.000 7.010
Ta Cu Re
1 1 1
Direct
0.000 0.000 0.000 Ta
0.333 0.667 0.332 Cu
0.667 0.333 0.646 Re
```

Largest 10 diffraction maxima, in order of rising 2θ, 15° ≤ 2θ ≤ 90°:
2θ 25.4, d = 3.505 Å, rel. 12
2θ 38.5, d = 2.337 Å, rel. 32
2θ 39.8, d = 2.264 Å, rel. 100
2θ 45.9, d = 1.976 Å, rel. 62
2θ 66.1, d = 1.414 Å, rel. 23
2θ 67.9, d = 1.381 Å, rel. 19
2θ 79.2, d = 1.210 Å, rel. 11
2θ 80.9, d = 1.189 Å, rel. 23
2θ 81.7, d = 1.179 Å, rel. 13
2θ 85.9, d = 1.132 Å, rel. 10